(1)
Calculated XRD peak list of YbBi2Te4 for Cu Kα, 1.54184 Å, from DFT lattice parameters and positions (PBE).

Cell: 8.622 8.622 8.622 Å, 109.33 109.33 109.76°
Element x y z (fractional)
Yb 0.000 0.000 0.000
Yb 0.750 0.250 0.500
Bi 0.374 0.125 0.749
Bi 0.375 0.626 0.751
Bi 0.376 0.625 0.251
Bi 0.875 0.624 0.249
Te 0.062 0.755 0.691
Te 0.064 0.371 0.309
Te 0.121 0.314 0.809
Te 0.245 0.936 0.307
Te 0.505 0.312 0.191
Te 0.629 0.938 0.693
Te 0.686 0.495 0.807
Te 0.688 0.879 0.193

Largest 6 diffraction maxima, sorted by position, 2θ = 10–90°:
| 2θ (°) | d [Å] | I (rel.) |
| --- | --- | --- |
| 25.26 | 3.526 | 733 |
| 28.43 | 3.139 | 959 |
| 33.64 | 2.664 | 1000 |
| 36.02 | 2.493 | 549 |
| 38.38 | 2.346 | 338 |
| 42.58 | 2.123 | 432 |

(2)
Calculated XRD peak list of Zr6Bi2Te for Cu Kα, 1.54184 Å, from DFT lattice parameters and positions (PBE).

Cell: 3.938 7.838 7.838 Å, 118.04 90.00 90.00°
Element x y z (fractional)
Zr 0.000 0.000 0.000
Zr 0.000 0.469 0.702
Zr 0.000 0.702 0.469
Zr 0.500 0.127 0.731
Zr 0.500 0.314 0.314
Zr 0.500 0.731 0.127
Bi 0.000 0.049 0.400
Bi 0.000 0.400 0.049
Te 0.500 0.752 0.752

Largest 6 diffraction maxima, sorted by position, 2θ = 10–90°:
| 2θ (°) | d [Å] | I (rel.) |
| --- | --- | --- |
| 31.75 | 2.818 | 446 |
| 32.24 | 2.777 | 701 |
| 34.51 | 2.599 | 1000 |
| 35.15 | 2.553 | 562 |
| 39.06 | 2.306 | 557 |
| 42.22 | 2.140 | 394 |

(3)
Calculated XRD peak list of Th5Bi4 for Cu Kα, 1.54184 Å, from DFT lattice parameters and positions (PBE).

Cell: 8.911 8.911 8.911 Å, 153.16 110.52 75.95°
Element x y z (fractional)
Th 0.000 0.000 0.000
Th 0.281 0.281 0.000
Th 0.341 0.000 0.341
Th 0.659 0.000 0.659
Th 0.719 0.719 0.000
Bi 0.038 0.355 0.683
Bi 0.328 0.645 0.683
Bi 0.672 0.355 0.317
Bi 0.962 0.645 0.317

Largest 6 diffraction maxima, sorted by position, 2θ = 10–90°:
| 2θ (°) | d [Å] | I (rel.) |
| --- | --- | --- |
| 28.80 | 3.100 | 1000 |
| 30.96 | 2.889 | 209 |
| 32.64 | 2.744 | 692 |
| 34.23 | 2.620 | 826 |
| 43.77 | 2.068 | 222 |
| 55.65 | 1.651 | 315 |

(4)
Calculated XRD peak list of Th5Bi2 for Cu Kα, 1.54184 Å, from DFT lattice parameters and positions (PBE).

Cell: 8.633 8.633 9.065 Å, 94.48 94.48 41.44°
Element x y z (fractional)
Th 0.040 0.693 0.041
Th 0.141 0.426 0.689
Th 0.227 0.773 0.750
Th 0.307 0.960 0.459
Th 0.426 0.141 0.189
Th 0.574 0.859 0.811
Th 0.693 0.040 0.541
Th 0.773 0.227 0.250
Th 0.859 0.574 0.311
Th 0.960 0.307 0.959
Bi 0.223 0.612 0.398
Bi 0.388 0.777 0.102
Bi 0.612 0.223 0.898
Bi 0.777 0.388 0.602

Largest 6 diffraction maxima, sorted by position, 2θ = 10–90°:
| 2θ (°) | d [Å] | I (rel.) |
| --- | --- | --- |
| 28.74 | 3.106 | 199 |
| 29.24 | 3.055 | 176 |
| 30.97 | 2.887 | 467 |
| 32.26 | 2.775 | 602 |
| 33.20 | 2.698 | 1000 |
| 51.54 | 1.773 | 158 |

(5)
Calculated XRD peak list of YTh2Bi4 for Cu Kα, 1.54184 Å, from DFT lattice parameters and positions (PBE).

Cell: 8.324 8.324 8.324 Å, 109.86 109.86 108.70°
Element x y z (fractional)
Y 0.000 0.000 0.000
Y 0.750 0.250 0.500
Th 0.254 0.125 0.629
Th 0.375 0.746 0.871
Th 0.496 0.625 0.371
Th 0.875 0.504 0.129
Bi 0.118 0.373 0.904
Bi 0.123 0.368 0.404
Bi 0.280 0.877 0.244
Bi 0.470 0.214 0.096
Bi 0.627 0.530 0.744
Bi 0.632 0.036 0.756
Bi 0.786 0.882 0.256
Bi 0.964 0.720 0.596

Largest 6 diffraction maxima, sorted by position, 2θ = 10–90°:
| 2θ (°) | d [Å] | I (rel.) |
| --- | --- | --- |
| 29.15 | 3.064 | 425 |
| 29.51 | 3.026 | 1000 |
| 34.77 | 2.580 | 569 |
| 34.96 | 2.567 | 260 |
| 35.07 | 2.559 | 361 |
| 59.53 | 1.553 | 223 |

(6)
Calculated XRD peak list of Y2Th2Bi5 for Cu Kα, 1.54184 Å, from DFT lattice parameters and positions (PBE).

Cell: 9.106 9.106 8.505 Å, 90.00 90.00 55.43°
Element x y z (fractional)
Y 0.151 0.849 0.846
Y 0.349 0.651 0.346
Y 0.651 0.349 0.654
Y 0.849 0.151 0.154
Th 0.194 0.194 0.500
Th 0.306 0.306 0.000
Th 0.694 0.694 0.000
Th 0.806 0.806 0.500
Bi 0.000 0.000 0.500
Bi 0.017 0.706 0.154
Bi 0.206 0.517 0.654
Bi 0.294 0.983 0.154
Bi 0.483 0.794 0.654
Bi 0.500 0.500 0.000
Bi 0.517 0.206 0.346
Bi 0.706 0.017 0.846
Bi 0.794 0.483 0.346
Bi 0.983 0.294 0.846

Largest 6 diffraction maxima, sorted by position, 2θ = 10–90°:
| 2θ (°) | d [Å] | I (rel.) |
| --- | --- | --- |
| 28.77 | 3.103 | 1000 |
| 29.77 | 3.001 | 587 |
| 31.50 | 2.840 | 766 |
| 32.42 | 2.761 | 843 |
| 33.80 | 2.652 | 789 |
| 33.91 | 2.643 | 789 |